No. 1
Diffraction record for LaTb5PmNd2. The powder diffractogram is calculated, not measured: it uses a structure optimized by DFT (PBE) and copper Kα.
No peak broadening, texture or thermal motion is included.

Largest 12 diffraction maxima, low angle first, 2θ from 15° to 90°:
- 2θ 28.36, d = 3.147 Å, I 51
- 2θ 28.73, d = 3.107 Å, I 50
- 2θ 30.47, d = 2.934 Å, I 100
- 2θ 32.21, d = 2.779 Å, I 14
- 2θ 34.19, d = 2.622 Å, I 15
- 2θ 36.54, d = 2.459 Å, I 13
- 2θ 37.33, d = 2.409 Å, I 17
- 2θ 42.78, d = 2.114 Å, I 20
- 2θ 45.95, d = 1.975 Å, I 11
- 2θ 46.06, d = 1.971 Å, I 13
- 2θ 52.00, d = 1.759 Å, I 21
- 2θ 55.17, d = 1.665 Å, I 19

```
LaTb5PmNd2
1.0
-4.3939 4.3939 7.8821
4.3939 -4.3939 7.8821
4.3939 4.3939 -7.8821
La Tb Pm Nd
2 10 2 4
direct
0.2500 0.2500 0.0000
0.7500 0.7500 0.0000
0.0000 0.0000 0.0000
0.0712 0.5712 0.9152
0.1560 0.0712 0.5000
0.3440 0.8440 0.9152
0.4288 0.3440 0.5000
0.5000 0.5000 0.0000
0.5712 0.6560 0.5000
0.6560 0.1560 0.0848
0.8440 0.9288 0.5000
0.9288 0.4288 0.0848
0.2500 0.7500 0.5000
0.7500 0.2500 0.5000
0.1181 0.3819 0.5000
0.3819 0.8819 0.2637
0.6181 0.1181 0.7363
0.8819 0.6181 0.5000
```


No. 2
Diffraction record for TlRe2Tc. The powder diffractogram is calculated, not measured: it uses a structure optimized by DFT (PBE) and copper Kα.
No peak broadening, texture or thermal motion is included.

Largest 12 diffraction maxima, low angle first, 2θ from 15° to 90°:
- 2θ 22.03, d = 4.034 Å, I 4
- 2θ 33.03, d = 2.712 Å, I 4
- 2θ 38.41, d = 2.344 Å, I 100
- 2θ 44.50, d = 2.036 Å, I 35
- 2θ 44.94, d = 2.017 Å, I 13
- 2θ 46.19, d = 1.965 Å, I 3
- 2θ 64.75, d = 1.440 Å, I 12
- 2θ 65.09, d = 1.433 Å, I 18
- 2θ 66.41, d = 1.408 Å, I 3
- 2θ 77.87, d = 1.227 Å, I 26
- 2θ 78.50, d = 1.218 Å, I 8
- 2θ 82.27, d = 1.172 Å, I 9

```
TlRe2Tc
1.0
2.8795 0.0000 0.0000
0.0000 2.8795 0.0000
0.0000 0.0000 8.0683
Tl Re Tc
1 2 1
direct
0.0000 0.0000 0.0000
0.0000 0.0000 0.5035
0.5000 0.5000 0.2837
0.5000 0.5000 0.7236
```